KBi2Au2O6: calculated powder diffraction line list (Cu Ka), based on the GGA-PBE geometry in Alexandria.

Structure:
abc: 6.1148 6.1753 6.7355
angles: 117.23 96.42 106.49
Fractional positions:
1 K 0.0000 0.0000 0.0000
2 Bi 0.0190 0.3327 0.6774
3 Bi 0.9810 0.6673 0.3226
4 Au 0.4598 0.0429 0.8173
5 Au 0.5402 0.9571 0.1827
6 O 0.1585 0.7162 0.6631
7 O 0.2258 0.6556 0.0755
8 O 0.2593 0.1148 0.5671
9 O 0.7407 0.8852 0.4329
10 O 0.7742 0.3444 0.9245
11 O 0.8415 0.2838 0.3369

Principal peaks in the range 15 to 90 degrees two-theta, sorted by position:
- 18.57°, I 100, (1 -1 0)
- 18.70°, I 80, (1 0 -1)
- 27.77°, I 50, (1 1 0)
- 28.83°, I 60, (0 1 1)
- 29.99°, I 62, (1 1 -2)
- 31.83°, I 54, (2 0 0)
- 32.25°, I 68, (1 -1 2)
- 33.84°, I 79, (-2 1 1)